Starting from a crystal structure in Alexandria, relaxed with PBE, the X-ray diffraction stick pattern of Ti2IrRh4 was calculated for Cu Kα, 1.54184 Å.

Principal peaks in the range 2θ = 5–70°, in order of rising 2θ:
- 2θ 22.23, I = 57, hkl 0 1 1
- 2θ 27.98, I = 51, hkl 1 2 -1
- 2θ 36.47, I = 49, hkl 2 1 -1
- 2θ 39.67, I = 51, hkl 2 0 0
- 2θ 40.83, I = 48, hkl 2 1 0
- 2θ 42.08, I = 89, hkl 0 1 2
- 2θ 42.92, I = 57, hkl 1 4 0
- 2θ 43.49, I = 76, hkl 1 4 -1
- 2θ 44.87, I = 100, hkl 1 3 1
- 2θ 46.38, I = 72, hkl 2 2 -2

```
14
Lattice="5.1114 0.0000 0.0000 0.0000 9.5138 0.0000 -2.2702 0.0000 4.4081" Properties=species:S:1:pos:R:3 pbc="T T T"
Ti 0.1106 0.4391 1.5918
Ti -1.0245 4.3178 3.7958
Ti 3.8657 5.1959 0.6123
Ti 2.7306 9.0747 2.8163
Ir 2.5557 0.0000 0.0000
Ir 1.4206 4.7569 2.2040
Rh -1.5739 1.7129 3.6729
Rh -0.4388 3.0440 1.4688
Rh 1.8891 6.8628 0.6578
Rh 0.7539 7.4078 2.8618
Rh 2.0872 2.1059 1.5463
Rh 0.9521 2.6509 3.7503
Rh 3.2799 6.4698 2.9392
Rh 4.4150 7.8008 0.7352
```

---

Starting from a crystal structure in Alexandria, relaxed with PBE, the X-ray diffraction stick pattern of PbCl2F4 was calculated for Cu Kα, 1.54184 Å.

Principal peaks in the range 2θ = 5–70°, in order of rising 2θ:
- 2θ 14.84, I = 95, hkl 0 0 1
- 2θ 16.40, I = 100, hkl 0 1 -1
- 2θ 22.11, I = 55, hkl 1 0 0
- 2θ 26.81, I = 77, hkl 0 1 -2
- 2θ 27.59, I = 19, hkl 1 1 -1
- 2θ 29.44, I = 48, hkl 1 0 1
- 2θ 30.33, I = 48, hkl -1 1 1
- 2θ 33.15, I = 36, hkl 0 2 -2
- 2θ 35.10, I = 18, hkl 1 -2 1
- 2θ 40.61, I = 20, hkl 0 1 -3

```
7
Lattice="4.1510 0.0000 0.0000 -0.6787 6.0629 0.0000 -1.0375 -3.0111 5.9702" Properties=species:S:1:pos:R:3 pbc="T T T"
Pb 0.0000 0.0000 0.0000
Cl -0.4414 0.4356 4.4714
Cl 2.8763 2.6162 1.4988
F -0.4742 4.2104 1.7149
F 0.3898 2.2527 4.7806
F 2.0450 0.7991 1.1896
F 2.9090 -1.1586 4.2553
```

---

Starting from a crystal structure in Alexandria, relaxed with PBE, the X-ray diffraction stick pattern of PrPaCuO6 was calculated for Cu Kα, 1.54184 Å.

Principal peaks in the range 2θ = 5–70°, in order of rising 2θ:
- 2θ 18.91, I = 16, hkl 1 0 0
- 2θ 26.21, I = 100, hkl 1 0 1
- 2θ 33.05, I = 37, hkl 1 1 0
- 2θ 36.43, I = 7, hkl 0 0 2
- 2θ 42.66, I = 28, hkl 2 0 1
- 2θ 50.00, I = 35, hkl 2 -1 2
- 2θ 55.00, I = 27, hkl 2 1 1
- 2θ 59.04, I = 12, hkl 3 0 0
- 2θ 59.58, I = 11, hkl 1 0 3
- 2θ 69.85, I = 6, hkl 2 0 3

```
9
Lattice="5.4201 0.0000 0.0000 -2.7101 4.6940 0.0000 0.0000 0.0000 4.9324" Properties=species:S:1:pos:R:3 pbc="T T T"
Pr 0.0000 0.0000 0.0000
Pa 2.7101 1.5647 2.4662
Cu 0.0000 3.1293 0.0000
O -0.9794 1.8034 1.1915
O -1.6380 2.9441 3.7409
O 0.9794 1.8034 3.7409
O -0.6586 4.6405 1.1915
O 1.6380 2.9441 1.1915
O 0.6586 4.6405 3.7409
```

---

Starting from a crystal structure in Alexandria, relaxed with PBE, the X-ray diffraction stick pattern of Tb5Sm4Ho2 was calculated for Cu Kα, 1.54184 Å.

Principal peaks in the range 2θ = 5–70°, in order of rising 2θ:
- 2θ 30.61, I = 100, hkl 0 1 2
- 2θ 35.49, I = 51, hkl 2 0 1
- 2θ 51.01, I = 18, hkl 3 1 -2
- 2θ 51.13, I = 18, hkl 1 3 1
- 2θ 60.65, I = 22, hkl 3 2 0
- 2θ 60.77, I = 18, hkl 2 1 3
- 2θ 60.89, I = 4, hkl -1 4 2
- 2θ 63.68, I = 9, hkl 2 4 -2
- 2θ 63.88, I = 3, hkl 0 2 4

```
11
Lattice="6.2050 0.0000 0.0000 -2.0536 7.7232 0.0000 -1.0383 -2.7810 7.4277" Properties=species:S:1:pos:R:3 pbc="T T T"
Tb 0.0000 0.0000 0.0000
Tb -1.0366 0.5335 6.0929
Tb 1.0545 6.0603 0.6663
Tb 2.0587 -1.1182 6.7614
Tb 4.1498 4.4086 1.3348
Sm -1.0202 3.8387 4.7369
Sm 1.0283 -0.5559 3.3750
Sm 2.0848 5.4980 4.0527
Sm 4.1333 1.1034 2.6908
Ho 1.0394 2.7573 2.0137
Ho 2.0737 2.1848 5.4140
```

---

Starting from a crystal structure in Alexandria, relaxed with PBE, the X-ray diffraction stick pattern of La2CePr was calculated for Cu Kα, 1.54184 Å.

Principal peaks in the range 2θ = 5–70°, in order of rising 2θ:
- 2θ 8.49, I = 2, hkl 0 0 1
- 2θ 30.19, I = 100, hkl 1 0 2
- 2θ 34.46, I = 16, hkl 0 0 4
- 2θ 35.27, I = 34, hkl 1 1 0
- 2θ 35.95, I = 2, hkl 1 0 3
- 2θ 50.14, I = 22, hkl 1 1 4
- 2θ 50.72, I = 14, hkl 2 0 0
- 2θ 59.11, I = 11, hkl 1 0 6
- 2θ 60.18, I = 28, hkl 2 1 2
- 2θ 62.78, I = 11, hkl 2 0 4

```
4
Lattice="3.5988 0.0000 0.0000 0.0000 3.5988 0.0000 0.0000 0.0000 10.4108" Properties=species:S:1:pos:R:3 pbc="T T T"
La 0.0000 0.0000 2.3929
La 0.0000 0.0000 8.0179
Ce 1.7994 1.7994 0.0000
Pr 1.7994 1.7994 5.2054
```